The following is a calculated PXRD pattern of CdI2. It was derived from a cell relaxed with GGA-PBE, using copper Kα.
Kinematic intensities with the Lorentz-polarization factor, no thermal factor.

The 8 most intense peaks (2θ = 5–70°), sorted by position:
2θ 11.91, rel. 56, hkl 0 0 8; 2θ 26.62, rel. 100, hkl 1 0 8; 2θ 33.97, rel. 25, hkl 1 0 16; 2θ 41.71, rel. 51, hkl 1 1 0; 2θ 43.81, rel. 26, hkl 0 1 24; 2θ 50.17, rel. 17, hkl 0 2 8; 2θ 66.30, rel. 22, hkl 1 1 32; 2θ 67.23, rel. 14, hkl 2 1 8

Crystal structure
Lattice parameters (Å, degrees): 4.3313 4.3313 59.4263 90.00 90.00 120.00
Atoms (fractional coordinates):
Cd: 0.0000 0.0000 0.0000
Cd: 0.0000 0.0000 0.1250
Cd: 0.0000 0.0000 0.2500
Cd: 0.0000 0.0000 0.3750
Cd: 0.0000 0.0000 0.6251
Cd: 0.3333 0.6667 0.5000
Cd: 0.3333 0.6667 0.7500
Cd: 0.3333 0.6667 0.8750
I: 0.0000 0.0000 0.4709
I: 0.0000 0.0000 0.7209
I: 0.0000 0.0000 0.8459
I: 0.3333 0.6667 0.0960
I: 0.3333 0.6667 0.2209
I: 0.3333 0.6667 0.3460
I: 0.3333 0.6667 0.5960
I: 0.3333 0.6667 0.9709
I: 0.6667 0.3333 0.0291
I: 0.6667 0.3333 0.1541
I: 0.6667 0.3333 0.2791
I: 0.6667 0.3333 0.4041
I: 0.6667 0.3333 0.5291
I: 0.6667 0.3333 0.6541
I: 0.6667 0.3333 0.7791
I: 0.6667 0.3333 0.9041